Record 1
This entry pairs a crystal structure of BeZnIn with its computed PXRD pattern. Radiation: Cu Kα, 1.54184 Å. Structure: a crystal structure in Alexandria, relaxed with GGA-PBE.
Neutral-atom scattering factors, no anomalous dispersion.

Peak list (8 most intense, 10° ≤ 2θ ≤ 90°, low angle first)
Position (°2θ)  I_rel
31.42  100
31.54  34
36.22  60
41.82  19
43.72  26
45.52  17
53.30  18
59.51  27

a = 3.9852 Å, b = 12.1164 Å, c = 4.3204 Å
α = 90.00°, β = 90.00°, γ = 90.00°
Fractional positions:
1 Be 0.0000 0.0000 0.0000
2 Be 0.0000 0.0000 0.5000
3 Be 0.5000 0.5000 0.0000
4 Be 0.5000 0.5000 0.5000
5 Zn 0.0000 0.4324 0.2500
6 Zn 0.0000 0.5676 0.7500
7 Zn 0.5000 0.0676 0.7500
8 Zn 0.5000 0.9324 0.2500
9 In 0.0000 0.1953 0.2500
10 In 0.0000 0.8047 0.7500
11 In 0.5000 0.3047 0.7500
12 In 0.5000 0.6953 0.2500

=====

Record 2
This entry pairs a crystal structure of Be2ZnIn with its computed PXRD pattern. Radiation: Cu Kα, 1.54184 Å. Structure: a crystal structure in Alexandria, relaxed with GGA-PBE.
Neutral-atom scattering factors, no anomalous dispersion.

Peak list (8 most intense, 10° ≤ 2θ ≤ 90°, low angle first)
Position (°2θ)  I_rel
23.77  78
32.28  72
40.48  100
46.30  34
52.70  35
59.59  24
69.41  19
81.82  24

a = 3.9217 Å, b = 3.9217 Å, c = 7.4876 Å
α = 90.00°, β = 90.00°, γ = 90.00°
Fractional positions:
1 Be 0.0000 0.5000 0.2500
2 Be 0.0000 0.5000 0.7500
3 Be 0.5000 0.0000 0.2500
4 Be 0.5000 0.0000 0.7500
5 Zn 0.0000 0.0000 0.0000
6 Zn 0.5000 0.5000 0.5000
7 In 0.0000 0.0000 0.5000
8 In 0.5000 0.5000 0.0000

=====

Record 3
This entry pairs a crystal structure of Be13Ir2 with its computed PXRD pattern. Radiation: Cu Kα, 1.54184 Å. Structure: a crystal structure in Alexandria, relaxed with GGA-PBE.
Neutral-atom scattering factors, no anomalous dispersion.

Peak list (8 most intense, 10° ≤ 2θ ≤ 90°, low angle first)
Position (°2θ)  I_rel
15.15  54
18.64  100
27.17  81
31.31  72
34.97  55
41.94  25
45.23  24
53.27  26

a = 6.7135 Å, b = 6.7135 Å, c = 6.7135 Å
α = 50.34°, β = 50.34°, γ = 50.34°
Fractional positions:
1 Be 0.0000 0.0000 0.0000
2 Be 0.1172 0.1172 0.4945
3 Be 0.1172 0.4945 0.1172
4 Be 0.2488 0.2488 0.6264
5 Be 0.2488 0.6264 0.2488
6 Be 0.3736 0.7512 0.7512
7 Be 0.4945 0.1172 0.1172
8 Be 0.5055 0.8828 0.8828
9 Be 0.6264 0.2488 0.2488
10 Be 0.7512 0.3736 0.7512
11 Be 0.7512 0.7512 0.3736
12 Be 0.8828 0.5055 0.8828
13 Be 0.8828 0.8828 0.5055
14 Ir 0.1320 0.1320 0.1320
15 Ir 0.8680 0.8680 0.8680

=====

Record 4
This entry pairs a crystal structure of Be11Ir3 with its computed PXRD pattern. Radiation: Cu Kα, 1.54184 Å. Structure: a crystal structure in Alexandria, relaxed with GGA-PBE.
Neutral-atom scattering factors, no anomalous dispersion.

Peak list (8 most intense, 10° ≤ 2θ ≤ 90°, low angle first)
Position (°2θ)  I_rel
23.72  72
27.74  100
30.22  56
37.68  32
44.26  33
45.01  44
45.96  20
47.07  24

a = 6.3671 Å, b = 6.3671 Å, c = 6.3671 Å
α = 147.53°, β = 107.81°, γ = 81.40°
Fractional positions:
1 Be 0.0000 0.0000 0.0000
2 Be 0.0902 0.8678 0.2225
3 Be 0.1599 0.5000 0.6599
4 Be 0.2125 0.3464 0.8661
5 Be 0.3547 0.1322 0.2225
6 Be 0.4803 0.3464 0.1339
7 Be 0.5197 0.6536 0.8661
8 Be 0.6453 0.8678 0.7775
9 Be 0.7875 0.6536 0.1339
10 Be 0.8401 0.5000 0.3401
11 Be 0.9098 0.1322 0.7775
12 Ir 0.2071 0.7071 0.5000
13 Ir 0.5000 0.0000 0.5000
14 Ir 0.7929 0.2929 0.5000

=====

Record 5
This entry pairs a crystal structure of LaBeZnIrS with its computed PXRD pattern. Radiation: Cu Kα, 1.54184 Å. Structure: a crystal structure in Alexandria, relaxed with GGA-PBE.
Neutral-atom scattering factors, no anomalous dispersion.

Peak list (8 most intense, 10° ≤ 2θ ≤ 90°, low angle first)
Position (°2θ)  I_rel
11.80  100
26.05  47
26.95  61
30.32  60
32.64  74
38.21  92
45.30  23
45.43  45

a = 6.9087 Å, b = 4.0040 Å, c = 7.8489 Å
α = 90.00°, β = 107.13°, γ = 90.00°
Fractional positions:
1 La 0.0000 0.0000 0.0000
2 La 0.5000 0.5000 0.0000
3 Be 0.2653 0.5000 0.2956
4 Be 0.7653 0.0000 0.2956
5 Zn 0.1550 0.0000 0.4655
6 Zn 0.6550 0.5000 0.4655
7 Ir 0.4267 0.0000 0.2801
8 Ir 0.9267 0.5000 0.2801
9 S 0.2589 0.0000 0.7749
10 S 0.7589 0.5000 0.7749

=====

Record 6
This entry pairs a crystal structure of LaBeZnIrS with its computed PXRD pattern. Radiation: Cu Kα, 1.54184 Å. Structure: a crystal structure in Alexandria, relaxed with GGA-PBE.
Neutral-atom scattering factors, no anomalous dispersion.

Peak list (8 most intense, 10° ≤ 2θ ≤ 90°, low angle first)
Position (°2θ)  I_rel
15.87  42
24.35  88
30.84  79
31.54  100
33.40  70
34.87  70
41.24  43
58.96  49

a = 3.8691 Å, b = 4.3784 Å, c = 11.1690 Å
α = 90.00°, β = 90.00°, γ = 90.00°
Fractional positions:
1 La 0.0000 0.0000 0.0000
2 La 0.5000 0.5000 0.5000
3 Be 0.0000 0.5000 0.2540
4 Be 0.5000 0.0000 0.7540
5 Zn 0.0000 0.5000 0.7662
6 Zn 0.5000 0.0000 0.2662
7 Ir 0.0000 0.0000 0.6665
8 Ir 0.5000 0.5000 0.1665
9 S 0.0000 0.0000 0.4591
10 S 0.5000 0.5000 0.9591